The following is a computed X-ray powder pattern of CaMg2Sb2. It was derived from a PBE-relaxed structure, using Cu Kα, 1.54184 Å.
Lines closer than 0.1° are merged.

Atomic structure:
Cell: 4.6931 4.6931 7.5863 Å, 90.00 90.00 120.00°
Space group P-3m1 (No. 164)
Unique sites:
Ca: 0.0000 0.0000 0.0000
Mg: 0.3333 0.6667 0.3688
Sb: 0.3333 0.6667 0.7558

Main lines, in order of falling intensity (2θ = 15–90°):
| two_theta | I (rel.) | hkl |
| --- | --- | --- |
| 24.85 | 100 | 1 0 1 |
| 38.36 | 52 | 1 1 0 |
| 32.28 | 46 | 1 0 2 |
| 42.08 | 40 | 0 1 3 |
| 45.45 | 24 | 1 1 2 |
| 23.45 | 23 | 0 0 2 |
| 21.87 | 21 | 1 0 0 |
| 46.25 | 18 | 0 2 1 |